# 1
For CaAc2SmTe5, a crystal structure in Alexandria, relaxed with PBE gives the computed X-ray powder pattern in this record (Cu Kα).
Neutral-atom scattering factors, no anomalous dispersion.

Structural model:
```
data_CaAc2SmTe5
_chemical_formula_sum 'Ca1 Ac2 Sm1 Te5'
_cell_length_a 5.654
_cell_length_b 5.654
_cell_length_c 11.718
_cell_angle_alpha 90.00
_cell_angle_beta 90.00
_cell_angle_gamma 90.00
_symmetry_space_group_name_H-M 'P 4/m m m'
_symmetry_Int_Tables_number 123
_symmetry_space_group_name_Hall '-P 4 2'
loop_
_atom_site_label
_atom_site_fract_x
_atom_site_fract_y
_atom_site_fract_z
Ca1 0.000 0.000 0.000
Ac1 0.500 0.500 0.302
Sm1 0.000 0.000 0.500
Te1 0.000 0.000 0.244
Te2 0.000 0.500 0.500
Te3 0.500 0.500 0.000
```

Top 8 peaks for 5° ≤ 2θ ≤ 70°, in order of falling intensity:
- 7.54°, intensity 100
- 31.65°, intensity 95
- 22.24°, intensity 84
- 27.76°, intensity 66
- 27.00°, intensity 51
- 32.04°, intensity 42
- 42.59°, intensity 42
- 44.54°, intensity 40

---

# 2
For Ca2Ac3Sn3, a crystal structure in Alexandria, relaxed with PBE gives the computed X-ray powder pattern in this record (Cu Kα).
Neutral-atom scattering factors, no anomalous dispersion.

Structural model:
```
data_Ca2Ac3Sn3
_chemical_formula_sum 'Ca4 Ac6 Sn6'
_cell_length_a 9.7118
_cell_length_b 9.7118
_cell_length_c 6.9983
_cell_angle_alpha 90.00
_cell_angle_beta 90.00
_cell_angle_gamma 120.00
_symmetry_space_group_name_H-M 'P 63/m c m'
_symmetry_Int_Tables_number 193
_symmetry_space_group_name_Hall '-P 6c 2'
loop_
_atom_site_label
_atom_site_fract_x
_atom_site_fract_y
_atom_site_fract_z
Ca1 0.3333 0.6667 0.0000
Ac1 0.0000 0.2606 0.2500
Sn1 0.0000 0.3910 0.7500
```

Top 8 peaks for 5° ≤ 2θ ≤ 70°, in order of falling intensity:
- 30.90°, intensity 100
- 25.46°, intensity 38
- 31.51°, intensity 38
- 48.40°, intensity 30
- 18.27°, intensity 30
- 31.92°, intensity 29
- 48.97°, intensity 21
- 41.26°, intensity 16

---

# 3
For Ca3Ac2Sn2, a crystal structure in Alexandria, relaxed with PBE gives the computed X-ray powder pattern in this record (Cu Kα).
Neutral-atom scattering factors, no anomalous dispersion.

Structural model:
```
data_Ca3Ac2Sn2
_chemical_formula_sum 'Ca6 Ac4 Sn4'
_cell_length_a 12.743
_cell_length_b 4.819
_cell_length_c 9.096
_cell_angle_alpha 90.00
_cell_angle_beta 112.55
_cell_angle_gamma 90.00
_symmetry_space_group_name_H-M 'C 1 2/m 1'
_symmetry_Int_Tables_number 12
loop_
_symmetry_equiv_pos_as_xyz
'x,y,z'
'-x,-y,-z'
'-x,y,-z'
'x,-y,z'
'x+1/2,y+1/2,z'
'-x+1/2,-y+1/2,-z'
'-x+1/2,y+1/2,-z'
'x+1/2,-y+1/2,z'
loop_
_atom_site_label
_atom_site_fract_x
_atom_site_fract_y
_atom_site_fract_z
Ca1 0.000 0.000 0.000
Ca2 0.127 0.000 0.434
Ac1 0.148 0.500 0.808
Sn1 0.162 0.500 0.213
```

Top 8 peaks for 5° ≤ 2θ ≤ 70°, in order of falling intensity:
- 29.36°, intensity 100
- 26.96°, intensity 74
- 28.07°, intensity 56
- 21.15°, intensity 53
- 19.91°, intensity 51
- 30.74°, intensity 50
- 37.32°, intensity 43
- 29.63°, intensity 40

---

# 4
For CaAc4Sn5, a crystal structure in Alexandria, relaxed with PBE gives the computed X-ray powder pattern in this record (Cu Kα).
Neutral-atom scattering factors, no anomalous dispersion.

Structural model:
```
data_CaAc4Sn5
_chemical_formula_sum 'Ca1 Ac4 Sn5'
_cell_length_a 3.783
_cell_length_b 3.783
_cell_length_c 22.923
_cell_angle_alpha 90.00
_cell_angle_beta 90.00
_cell_angle_gamma 90.00
_symmetry_space_group_name_H-M 'P 4/m m m'
_symmetry_Int_Tables_number 123
_symmetry_space_group_name_Hall '-P 4 2'
loop_
_atom_site_label
_atom_site_fract_x
_atom_site_fract_y
_atom_site_fract_z
Ca1 0.000 0.000 0.000
Ac1 0.000 0.000 0.194
Ac2 0.000 0.000 0.398
Sn1 0.500 0.500 0.093
Sn2 0.500 0.500 0.296
Sn3 0.500 0.500 0.500
```

Top 8 peaks for 5° ≤ 2θ ≤ 70°, in order of falling intensity:
- 30.64°, intensity 100
- 33.50°, intensity 41
- 58.12°, intensity 34
- 52.58°, intensity 21
- 48.10°, intensity 15
- 39.30°, intensity 12
- 63.79°, intensity 12
- 65.92°, intensity 10